[1]
Computed X-ray powder pattern
Compound: Ce2Sb3Pd5
Radiation: copper Kα
Structure: a DFT-relaxed cell (PBE, Alexandria)
Lines closer than 0.1° are merged.

Cell and atoms:
```
Ce2Sb3Pd5
1.0
2.295 -12.707 0.000
2.295 12.707 0.000
0.000 0.000 7.182
Ce Sb Pd
4 6 10
Cartesian
2.295 12.298 3.591
2.295 4.433 3.646
2.295 -4.433 0.055
2.295 -12.298 0.000
2.295 9.952 1.480
2.295 5.644 0.421
2.295 1.360 2.113
2.295 -1.360 5.704
2.295 -5.644 4.012
2.295 -9.952 5.071
2.295 9.924 5.744
2.295 7.455 2.516
2.295 7.090 5.428
2.295 3.023 7.118
2.295 1.270 4.908
2.295 -1.270 1.317
2.295 -3.023 3.527
2.295 -7.090 1.837
2.295 -7.455 6.107
2.295 -9.924 2.153
```

Most intense lines, 2θ from 10° to 80°, sorted by position:
2θ (°)  I_rel
32.69  20
33.40  100
33.87  57
37.39  33
37.54  19
39.26  52
40.26  18
45.39  22
64.84  19
67.47  19

[2]
Computed X-ray powder pattern
Compound: CeSbPd3
Radiation: copper Kα
Structure: a DFT-relaxed cell (PBE, Alexandria)
Lines closer than 0.1° are merged.

Cell and atoms:
```
CeSbPd3
1.0
-2.622 2.622 9.079
2.622 -2.622 9.079
2.622 2.622 -9.079
Ce Sb Pd
2 2 6
Cartesian
0.000 0.000 2.387
0.000 0.000 15.772
2.622 0.000 4.540
0.000 0.000 9.079
1.331 2.622 -2.263
1.291 0.000 6.816
2.622 1.331 2.263
0.000 2.622 0.864
0.000 1.291 11.343
0.000 2.622 8.216
```

Most intense lines, 2θ from 10° to 80°, sorted by position:
2θ (°)  I_rel
17.61  52
19.55  30
22.43  30
31.15  33
34.20  52
35.64  36
38.72  45
41.29  100
46.07  31
69.65  26

[3]
Computed X-ray powder pattern
Compound: CeSb2Pd4
Radiation: copper Kα
Structure: a DFT-relaxed cell (PBE, Alexandria)
Lines closer than 0.1° are merged.

Cell and atoms:
```
CeSb2Pd4
1.0
17.200 0.000 0.000
0.000 4.597 0.000
0.000 0.000 7.195
Ce Sb Pd
4 8 16
Cartesian
2.453 1.149 0.232
6.146 3.448 3.829
11.053 1.149 3.366
14.746 3.448 6.964
0.573 3.448 1.816
3.582 1.149 4.111
5.018 3.448 0.514
8.027 1.149 5.414
9.173 3.448 1.782
12.182 1.149 6.682
13.618 3.448 3.084
16.627 1.149 5.379
0.614 3.448 6.332
1.059 1.149 3.246
3.177 3.448 2.576
3.505 3.448 5.549
5.095 1.149 1.952
5.422 1.149 6.174
7.541 3.448 6.843
7.986 1.149 2.734
9.213 3.448 4.461
9.659 1.149 0.352
11.777 3.448 1.022
12.105 3.448 5.244
13.694 1.149 1.646
14.022 1.149 4.619
16.141 3.448 3.949
16.586 1.149 0.863
```

Most intense lines, 2θ from 10° to 80°, sorted by position:
2θ (°)  I_rel
32.02  24
33.30  100
34.88  96
35.34  22
36.96  29
38.72  32
39.20  89
41.28  34
43.87  86
44.99  25

[4]
Computed X-ray powder pattern
Compound: CeScPd4
Radiation: copper Kα
Structure: a DFT-relaxed cell (PBE, Alexandria)
Lines closer than 0.1° are merged.

Cell and atoms:
```
CeScPd4
1.0
7.777 0.000 0.000
0.000 4.193 0.000
0.000 0.000 13.723
Ce Sc Pd
4 4 16
Cartesian
1.706 1.048 0.709
2.182 3.145 7.571
5.595 1.048 6.153
6.070 3.145 13.014
1.682 3.145 3.640
2.207 1.048 10.501
5.570 3.145 3.222
6.095 1.048 10.084
0.076 1.048 12.075
0.216 1.048 8.035
0.289 3.145 10.102
1.842 1.048 5.536
2.046 3.145 12.397
3.600 1.048 3.241
3.673 3.145 1.173
3.813 3.145 5.214
3.964 1.048 8.510
4.104 1.048 12.550
4.177 3.145 10.482
5.730 1.048 1.326
5.935 3.145 8.187
7.488 1.048 3.621
7.561 3.145 5.688
7.701 3.145 1.648
```

Most intense lines, 2θ from 10° to 80°, sorted by position:
2θ (°)  I_rel
26.34  9
34.05  8
37.16  100
39.23  8
39.40  12
43.15  23
46.72  12
59.85  7
65.47  8
75.15  14

[5]
Computed X-ray powder pattern
Compound: Ce2PdSe4
Radiation: copper Kα
Structure: a DFT-relaxed cell (PBE, Alexandria)
Lines closer than 0.1° are merged.

Cell and atoms:
```
Ce2PdSe4
1.0
0.000 6.618 4.402
6.605 0.000 4.402
6.605 6.618 0.000
Ce Pd Se
4 2 8
Cartesian
6.898 3.601 4.402
9.615 6.910 6.603
6.313 9.635 4.402
3.596 6.326 6.603
6.605 6.618 5.495
9.908 9.927 7.695
5.516 1.844 2.521
10.998 5.154 4.722
8.454 7.721 4.081
11.756 8.825 6.282
4.757 5.516 4.081
1.090 4.774 2.521
8.060 11.030 6.282
2.213 8.083 4.722
```

Most intense lines, 2θ from 10° to 80°, sorted by position:
2θ (°)  I_rel
13.82  56
18.98  37
24.29  46
27.84  46
30.23  38
36.61  100
37.44  42
38.51  40
46.06  42
49.85  43

[6]
Computed X-ray powder pattern
Compound: Ce2PdSe4
Radiation: copper Kα
Structure: a DFT-relaxed cell (PBE, Alexandria)
Lines closer than 0.1° are merged.

Cell and atoms:
```
Ce2PdSe4
1.0
7.146 0.000 0.000
0.000 5.879 0.000
-2.428 0.000 7.963
Ce Pd Se
4 2 8
Cartesian
0.597 1.470 3.463
-0.542 1.470 7.427
5.260 4.409 0.536
4.121 4.409 4.500
0.095 4.409 5.467
4.623 1.470 2.497
-1.730 4.409 7.173
-0.449 4.409 3.032
2.762 3.023 1.937
2.762 5.795 1.937
1.956 0.084 6.026
1.956 2.856 6.026
5.167 1.470 4.931
6.448 1.470 0.790
```

Most intense lines, 2θ from 10° to 80°, sorted by position:
2θ (°)  I_rel
29.05  73
30.41  33
32.88  100
33.18  37
38.05  43
40.48  35
42.44  53
43.48  39
60.90  21
62.45  34

[7]
Computed X-ray powder pattern
Compound: Ce2Pd4Se5
Radiation: copper Kα
Structure: a DFT-relaxed cell (PBE, Alexandria)
Lines closer than 0.1° are merged.

Cell and atoms:
```
Ce2Pd4Se5
1.0
2.102 1.213 16.652
-2.102 1.213 16.652
0.000 -2.427 16.652
Ce Pd Se
2 4 5
Cartesian
0.000 0.000 6.492
0.000 0.000 43.466
0.000 0.000 15.822
0.000 0.000 20.956
0.000 0.000 29.001
0.000 0.000 34.135
0.000 0.000 11.765
0.000 0.000 18.366
0.000 0.000 24.979
0.000 0.000 31.592
0.000 0.000 38.193
```

Most intense lines, 2θ from 10° to 80°, sorted by position:
2θ (°)  I_rel
15.97  26
24.52  25
25.49  35
28.38  19
31.50  92
37.97  43
43.04  100
43.96  24
47.17  30
54.30  19

[8]
Computed X-ray powder pattern
Compound: Ce3Tl3PdSe8
Radiation: copper Kα
Structure: a DFT-relaxed cell (PBE, Alexandria)
Lines closer than 0.1° are merged.

Cell and atoms:
```
Ce3Tl3PdSe8
1.0
7.154 -4.145 0.000
7.154 4.145 0.000
-4.776 0.000 7.881
Ce Tl Pd Se
3 3 1 8
Cartesian
0.000 0.000 0.000
3.577 2.073 0.000
3.577 -2.073 0.000
1.189 2.073 3.940
1.189 -2.073 3.940
4.766 0.000 3.940
7.154 0.000 0.000
2.386 0.000 1.671
5.995 2.001 1.561
3.537 2.001 6.319
0.195 0.000 6.381
9.337 0.000 1.499
5.995 -2.001 1.561
3.537 -2.001 6.319
7.146 0.000 6.210
```

Most intense lines, 2θ from 10° to 80°, sorted by position:
2θ (°)  I_rel
12.91  10
14.45  9
22.56  10
25.98  12
29.14  100
39.53  37
43.67  12
43.80  23
53.40  12
65.38  11

[9]
Computed X-ray powder pattern
Compound: CeSi4Pd8
Radiation: copper Kα
Structure: a DFT-relaxed cell (PBE, Alexandria)
Lines closer than 0.1° are merged.

Cell and atoms:
```
CeSi4Pd8
1.0
-4.366 4.366 2.654
4.366 -4.366 2.654
4.366 4.366 -2.654
Ce Si Pd
1 4 8
Cartesian
0.000 0.000 0.000
2.183 2.183 -1.327
2.183 -2.183 1.327
-2.183 2.183 1.327
2.183 2.183 1.327
2.874 0.000 0.000
5.857 0.000 0.000
4.366 2.400 0.000
0.000 2.874 0.000
2.400 4.366 0.000
1.966 0.000 2.654
0.000 5.857 0.000
0.000 1.966 2.654
```

Most intense lines, 2θ from 10° to 80°, sorted by position:
2θ (°)  I_rel
28.92  34
33.78  58
35.17  54
39.75  24
40.97  100
41.36  50
45.05  50
54.43  22
65.32  25
75.16  35

[10]
Computed X-ray powder pattern
Compound: Ce3Si6Pd20
Radiation: copper Kα
Structure: a DFT-relaxed cell (PBE, Alexandria)
Lines closer than 0.1° are merged.

Cell and atoms:
```
Ce3Si6Pd20
1.0
0.000 6.187 6.187
6.187 0.000 6.187
6.187 6.187 0.000
Ce Si Pd
3 6 20
Cartesian
0.000 0.000 0.000
3.094 3.094 3.094
9.281 9.281 9.281
6.187 6.187 3.313
6.187 3.313 6.187
9.061 6.187 6.187
3.313 6.187 6.187
6.187 9.061 6.187
6.187 6.187 9.061
2.141 2.141 0.000
4.046 4.046 0.000
2.141 0.000 2.141
6.187 4.046 2.141
4.046 0.000 4.046
6.187 2.141 4.046
7.622 4.752 4.752
0.000 2.141 2.141
4.046 6.187 2.141
4.046 2.141 6.187
4.752 4.752 4.752
7.622 7.622 4.752
7.622 4.752 7.622
4.752 7.622 4.752
4.752 4.752 7.622
7.622 7.622 7.622
0.000 4.046 4.046
2.141 6.187 4.046
2.141 4.046 6.187
4.752 7.622 7.622
```

Most intense lines, 2θ from 10° to 80°, sorted by position:
2θ (°)  I_rel
32.35  22
35.54  31
37.78  100
41.27  31
43.26  25
43.90  10
48.82  11
63.83  28
65.30  14
75.24  19

[11]
Computed X-ray powder pattern
Compound: Ce3Si2Pd5
Radiation: copper Kα
Structure: a DFT-relaxed cell (PBE, Alexandria)
Lines closer than 0.1° are merged.

Cell and atoms:
```
Ce3Si2Pd5
1.0
-5.867 5.962 2.910
5.867 -5.962 2.910
5.867 5.962 -2.910
Ce Si Pd
6 4 10
Cartesian
7.185 2.468 0.000
0.000 0.000 1.455
1.317 3.493 0.000
4.550 2.468 2.910
0.000 0.000 4.366
-1.317 3.493 2.910
4.246 -4.077 2.910
4.246 4.077 0.000
1.621 1.885 2.910
1.621 10.039 0.000
4.221 1.753 0.000
3.146 5.962 -1.455
2.721 0.000 1.455
5.867 0.000 1.455
4.221 -1.753 2.910
1.646 7.715 0.000
0.000 5.962 1.455
3.146 5.962 1.455
2.721 0.000 4.366
1.646 4.209 2.910
```

Most intense lines, 2θ from 10° to 80°, sorted by position:
2θ (°)  I_rel
23.63  38
31.22  32
34.06  92
34.29  100
43.27  23
43.46  26
43.82  92
45.65  17
65.12  24
74.51  18